This entry pairs a crystal structure of Ni2Hg2SF6 with its theoretical powder diffraction line list. Radiation: Cu Kα (weighted mean of Kα1 and Kα2). Structure: DFT lattice parameters and positions (PBE+U).
Neutral-atom scattering factors, no anomalous dispersion.

Structural model:
```
data_Ni2Hg2SF6
_space_group_name_H-M_alt 'P 1'
_space_group_IT_number 1
_space_group_name_Hall 'P 1'
_cell_length_a 7.6867
_cell_length_b 7.6867
_cell_length_c 7.6867
_cell_angle_alpha 60.00
_cell_angle_beta 60.00
_cell_angle_gamma 60.00
loop_
_atom_site_label
_atom_site_type_symbol
_atom_site_fract_x
_atom_site_fract_y
_atom_site_fract_z
Ni1 Ni 0.0000 0.0000 0.0000
Ni2 Ni 0.0000 0.0000 0.5000
Ni3 Ni 0.0000 0.5000 0.0000
Ni4 Ni 0.5000 0.0000 0.0000
Hg1 Hg 0.0000 0.5000 0.5000
Hg2 Hg 0.5000 0.0000 0.5000
Hg3 Hg 0.5000 0.5000 0.0000
Hg4 Hg 0.5000 0.5000 0.5000
S1 S 0.3750 0.3750 0.3750
S2 S 0.6250 0.6250 0.6250
F1 F 0.0691 0.0691 0.6809
F2 F 0.0691 0.6809 0.0691
F3 F 0.0691 0.6809 0.6809
F4 F 0.3191 0.3191 0.9309
F5 F 0.3191 0.9309 0.3191
F6 F 0.3191 0.9309 0.9309
F7 F 0.6809 0.0691 0.0691
F8 F 0.6809 0.0691 0.6809
F9 F 0.6809 0.6809 0.0691
F10 F 0.9309 0.3191 0.3191
F11 F 0.9309 0.3191 0.9309
F12 F 0.9309 0.9309 0.3191
```

Main lines, by angle (10° ≤ 2θ ≤ 90°):
14.11°, I = 28
27.21°, I = 13
28.44°, I = 100
32.96°, I = 31
36.01°, I = 22
47.30°, I = 50
56.12°, I = 45
76.38°, I = 18
78.74°, I = 15
88.03°, I = 14


This entry pairs a crystal structure of Rb2VHgF6 with its theoretical powder diffraction line list. Radiation: Cu Kα (weighted mean of Kα1 and Kα2). Structure: DFT lattice parameters and positions (PBE+U).
Neutral-atom scattering factors, no anomalous dispersion.

Structural model:
```
data_Rb2VHgF6
_space_group_name_H-M_alt 'P 1'
_space_group_IT_number 1
_space_group_name_Hall 'P 1'
_cell_length_a 6.7904
_cell_length_b 6.7904
_cell_length_c 6.7904
_cell_angle_alpha 60.00
_cell_angle_beta 60.00
_cell_angle_gamma 60.00
loop_
_atom_site_label
_atom_site_type_symbol
_atom_site_fract_x
_atom_site_fract_y
_atom_site_fract_z
Rb1 Rb 0.2500 0.2500 0.2500
Rb2 Rb 0.7500 0.7500 0.7500
V1 V 0.0000 0.0000 0.0000
Hg1 Hg 0.5000 0.5000 0.5000
F1 F 0.1948 0.1948 0.8052
F2 F 0.1948 0.8052 0.1948
F3 F 0.1948 0.8052 0.8052
F4 F 0.8052 0.1948 0.1948
F5 F 0.8052 0.1948 0.8052
F6 F 0.8052 0.8052 0.1948
```

Main lines, by angle (10° ≤ 2θ ≤ 90°):
15.99°, I = 13
18.48°, I = 12
26.25°, I = 100
30.88°, I = 20
37.46°, I = 31
40.97°, I = 16
46.32°, I = 37
54.02°, I = 18
61.03°, I = 23
73.85°, I = 23